Theoretical powder diffractogram of Sc3Sn2Pd for Cu Kα, 1.54184 Å, from a structure optimized by DFT (PBE).
Neutral-atom scattering factors, no anomalous dispersion.

Principal peaks in the range 5 to 70 degrees two-theta, by intensity:
d_spacing  Position (°2θ)  intensity  index
3.859  23.0  100  2 0 2
2.542  35.3  97  3 1 2
2.363  38.1  84  4 1 1
2.228  40.5  78  0 2 0
2.198  41.1  74  1 1 4
7.719  11.5  48  1 0 1
3.309  26.9  44  1 0 3
2.729  32.8  42  0 1 3
2.088  43.3  40  2 1 4
2.526  35.5  38  4 0 2

Cell and atoms:
```
data_Sc3Sn2Pd
_chemical_formula_sum 'Sc12 Sn8 Pd4'
_cell_length_a 11.5757
_cell_length_b 4.4563
_cell_length_c 10.3580
_cell_angle_alpha 90.00
_cell_angle_beta 90.00
_cell_angle_gamma 90.00
_symmetry_space_group_name_H-M 'P n m a'
_symmetry_Int_Tables_number 62
_symmetry_space_group_name_Hall '-P 2ac 2n'
loop_
_atom_site_label
_atom_site_type_symbol
_atom_site_fract_x
_atom_site_fract_y
_atom_site_fract_z
Sc1 Sc 0.0515 0.2500 0.1384
Sc2 Sc 0.1466 0.7500 0.5749
Sc3 Sc 0.2367 0.2500 0.8033
Sn1 Sn 0.0062 0.2500 0.6773
Sn2 Sn 0.1746 0.7500 0.0103
Pd1 Pd 0.1134 0.2500 0.3986
```